Record 1
# Ce2AlNi4
Theoretical PXRD pattern, Cu Kα. Input: a cell relaxed with PBE.
Neutral-atom scattering factors, no anomalous dispersion.

Main lines, most intense first (15 to 90 degrees two-theta):
2θ/deg  Rel. int.
37.6  100
43.4  56
44.4  50
25.6  28
15.9  27
71.2  23

Cell and atoms:
```
Ce2AlNi4
1.0
3.290 -5.209 0.000
3.290 5.209 0.000
0.000 0.000 3.482
Ce Al Ni
2 1 4
Cartesian
1.645 2.604 0.000
1.645 -2.604 0.000
0.000 0.000 1.741
1.885 0.000 0.000
3.290 1.220 1.741
3.290 -1.220 1.741
4.695 0.000 0.000
```

=====

Record 2
# PrPtF7
Theoretical PXRD pattern, Cu Kα. Input: a cell relaxed with PBE.
Neutral-atom scattering factors, no anomalous dispersion.

Main lines, most intense first (15 to 90 degrees two-theta):
2θ/deg  Rel. int.
21.5  100
21.8  43
28.3  32
46.9  25
43.7  17
31.4  17

Cell and atoms:
```
PrPtF7
1.0
9.233 0.000 0.000
0.000 5.693 0.000
-5.822 0.000 10.898
Pr Pt F
4 4 28
Cartesian
0.206 1.364 2.882
-2.705 1.483 8.331
6.117 4.210 2.567
3.206 4.330 8.015
2.276 4.234 0.464
-0.634 4.306 5.913
4.046 1.387 4.985
1.135 1.460 10.434
-5.240 4.226 10.366
-2.329 4.314 4.917
-3.943 3.389 7.963
-1.032 5.151 2.514
1.383 3.184 1.870
-1.528 5.356 7.319
1.753 0.183 1.413
-1.157 2.664 6.862
-0.074 0.283 5.023
-2.985 2.564 10.472
0.283 3.235 4.538
-2.628 5.305 9.987
2.381 1.337 3.939
-0.530 1.510 9.388
3.942 4.183 1.510
1.031 4.357 6.958
6.039 0.388 0.910
3.129 2.459 6.359
6.397 3.129 0.426
3.486 5.411 5.875
4.569 3.030 4.036
1.658 5.510 9.484
4.940 0.337 3.578
2.029 2.510 9.027
4.444 0.542 8.383
7.355 2.305 2.934
5.741 1.380 5.980
8.651 1.467 0.532
```

=====

Record 3
# Y3Al6Cu5
Theoretical PXRD pattern, Cu Kα. Input: a cell relaxed with PBE.
Neutral-atom scattering factors, no anomalous dispersion.

Main lines, most intense first (15 to 90 degrees two-theta):
2θ/deg  Rel. int.
36.0  100
43.1  31
30.2  28
34.6  21
37.2  14
36.2  14

Cell and atoms:
```
Y3Al6Cu5
1.0
4.199 0.000 0.000
0.000 12.495 0.000
0.000 0.000 9.283
Y Al Cu
6 12 10
Cartesian
1.050 0.631 2.256
1.050 5.617 2.256
1.050 9.371 2.382
3.149 3.124 6.901
3.149 6.878 7.026
3.149 11.864 7.026
1.050 0.902 5.447
1.050 3.124 0.355
1.050 3.124 3.931
1.050 5.345 5.447
1.050 7.493 9.125
1.050 11.249 9.125
3.149 1.246 0.158
3.149 5.002 0.158
3.149 7.150 3.836
3.149 9.371 5.351
3.149 9.371 8.928
3.149 11.593 3.836
1.050 1.169 8.050
1.050 5.079 8.050
1.050 7.930 5.023
1.050 9.371 7.246
1.050 10.812 5.023
3.149 1.683 4.260
3.149 3.124 2.036
3.149 4.565 4.260
3.149 7.416 1.232
3.149 11.326 1.232
```

=====

Record 4
# AsPRhAu2
Theoretical PXRD pattern, Cu Kα. Input: a cell relaxed with PBE.
Neutral-atom scattering factors, no anomalous dispersion.

Main lines, most intense first (15 to 90 degrees two-theta):
2θ/deg  Rel. int.
37.2  100
35.5  57
34.8  57
39.4  48
45.9  40
29.1  34

Cell and atoms:
```
AsPRhAu2
1.0
2.708 -2.289 0.000
2.708 2.289 0.000
-0.487 0.000 6.984
As P Rh Au
1 1 1 2
Cartesian
0.000 0.000 0.000
1.435 0.000 5.222
3.654 0.000 4.648
0.535 0.000 2.929
2.983 0.000 1.325
```

=====

Record 5
# MgTa2BiW
Theoretical PXRD pattern, Cu Kα. Input: a cell relaxed with PBE.
Neutral-atom scattering factors, no anomalous dispersion.

Main lines, most intense first (15 to 90 degrees two-theta):
2θ/deg  Rel. int.
17.2  100
34.8  83
50.6  58
30.3  51
17.6  46
35.6  39

Cell and atoms:
```
MgTa2BiW
1.0
5.152 0.000 0.000
0.000 5.152 0.000
0.000 0.000 5.046
Mg Ta Bi W
1 2 1 1
Cartesian
0.000 0.000 0.000
0.000 2.576 2.523
2.576 0.000 2.523
2.576 2.576 2.523
2.576 2.576 0.000
```

=====

Record 6
# Tb6Nd2YHo
Theoretical PXRD pattern, Cu Kα. Input: a cell relaxed with PBE.
Neutral-atom scattering factors, no anomalous dispersion.

Main lines, most intense first (15 to 90 degrees two-theta):
2θ/deg  Rel. int.
30.6  100
33.4  97
31.6  94
31.1  74
30.3  68
31.4  54

Cell and atoms:
```
Tb6Nd2YHo
1.0
4.524 -7.593 0.000
4.524 7.593 0.000
-1.441 0.000 9.597
Tb Nd Y Ho
12 4 2 2
Cartesian
2.426 4.205 1.806
3.151 4.708 5.343
3.734 4.708 9.053
3.029 1.596 3.653
5.901 4.205 2.993
5.298 1.596 1.145
2.308 -1.596 8.452
1.705 -4.205 6.605
4.577 -1.596 5.944
3.872 -4.708 0.544
4.454 -4.708 4.255
5.180 -4.205 7.791
2.179 0.812 0.404
1.459 -0.812 5.203
6.147 0.812 4.395
5.427 -0.812 9.193
4.163 7.309 2.399
3.443 -7.309 7.198
3.443 1.402 7.198
4.163 -1.402 2.399
```